The following is a theoretical powder diffractogram of Zr2N2O. It was derived from a DFT-relaxed cell (GGA-PBE, the Materials Project), using Cu Kα.
Intensities are scaled so that the largest is 100.

Structure:
a b c (Å): 8.869 8.873 8.875
angles (deg): 109.56 109.41 109.34
Space group P1 (No. 1)
One atom of each set of equivalent atoms:
Zr: 0.000 0.000 0.000
Zr: 0.012 0.505 0.502
Zr: 0.054 0.729 0.257
Zr: 0.222 0.186 0.476
Zr: 0.246 0.468 0.206
Zr: 0.268 0.978 0.719
Zr: 0.301 0.765 0.975
Zr: 0.484 0.232 0.190
Zr: 0.500 0.426 0.934
Zr: 0.511 0.942 0.431
Zr: 0.538 0.714 0.751
Zr: 0.722 0.686 0.469
Zr: 0.749 0.469 0.709
Zr: 0.770 0.982 0.237
Zr: 0.795 0.259 0.969
Zr: 0.967 0.216 0.684
N: 0.019 0.464 0.254
N: 0.031 0.230 0.950
N: 0.225 0.210 0.733
N: 0.245 0.695 0.169
N: 0.291 0.732 0.710
N: 0.301 0.979 0.493
N: 0.486 0.441 0.674
N: 0.496 0.487 0.186
N: 0.529 0.014 0.227
N: 0.531 0.197 0.958
N: 0.714 0.203 0.687
N: 0.727 0.427 0.448
N: 0.770 0.936 0.458
N: 0.804 0.747 0.754
N: 0.982 0.924 0.203
N: 0.995 0.245 0.449
O: 0.032 0.510 0.769
O: 0.212 0.961 0.950
O: 0.273 0.244 0.265
O: 0.485 0.709 0.493
O: 0.521 0.701 0.991
O: 0.743 0.004 0.980
O: 0.791 0.516 0.992
O: 0.985 0.747 0.483

Largest 10 diffraction maxima, by intensity, 15 to 90 degrees two-theta:
2theta  intensity
30.2  100
35.0  28
50.3  25
21.2  14
59.8  13
50.4  13
59.9  11
45.1  8
37.2  6
41.3  4

***

The following is a theoretical powder diffractogram of Lu3Al2. It was derived from a DFT-relaxed cell (GGA-PBE, the Materials Project), using Cu Kα.
Intensities are scaled so that the largest is 100.

Structure:
a b c (Å): 8.055 8.055 7.446
angles (deg): 90.00 90.00 90.00
Space group P4_2/mnm (No. 136)
One atom of each set of equivalent atoms:
Lu: 0.000 0.500 0.250
Lu: 0.150 0.150 0.000
Lu: 0.203 0.203 0.500
Al: 0.120 0.880 0.302

Largest 10 diffraction maxima, by intensity, 15 to 90 degrees two-theta:
2theta  intensity
32.8  100
34.6  81
35.2  66
24.7  52
28.6  51
31.4  38
54.2  31
37.3  24
61.7  24
52.9  20

***

The following is a theoretical powder diffractogram of Li2SnGe. It was derived from a DFT-relaxed cell (GGA-PBE, the Materials Project), using Cu Kα.
Intensities are scaled so that the largest is 100.

Structure:
a b c (Å): 6.890 6.890 6.890
angles (deg): 90.00 90.00 90.00
Space group F-43m (No. 216)
One atom of each set of equivalent atoms:
Li: 0.000 0.000 0.000
Li: 0.250 0.250 0.250
Sn: 0.250 0.250 0.750
Ge: 0.000 0.000 0.500

Largest 10 diffraction maxima, by intensity, 15 to 90 degrees two-theta:
2theta  intensity
22.3  100
36.9  98
43.6  53
66.5  36
58.4  23
82.9  18
53.2  17
71.1  17
78.5  11
25.9  6

***

The following is a theoretical powder diffractogram of Ce2CdAs2O. It was derived from a DFT-relaxed cell (GGA-PBE, the Materials Project), using Cu Kα.
Intensities are scaled so that the largest is 100.

Structure:
a b c (Å): 3.229 3.229 15.009
angles (deg): 90.00 90.00 90.00
Space group P4/mmm (No. 123)
One atom of each set of equivalent atoms:
Ce: 0.000 0.000 0.137
Cd: 0.000 0.000 0.500
As: 0.000 0.000 0.330
O: 0.000 0.000 0.000

Largest 10 diffraction maxima, by intensity, 15 to 90 degrees two-theta:
2theta  intensity
27.6  100
39.5  38
45.9  25
41.1  19
64.5  17
54.4  15
17.7  14
35.9  13
57.1  13
33.0  13

***

The following is a theoretical powder diffractogram of LiEuH3. It was derived from a DFT-relaxed cell (GGA-PBE, the Materials Project), using Cu Kα.
Intensities are scaled so that the largest is 100.

Structure:
a b c (Å): 3.727 3.727 3.727
angles (deg): 90.00 90.00 90.00
Space group Pm-3m (No. 221)
One atom of each set of equivalent atoms:
Li: 0.000 0.000 0.000
Eu: 0.500 0.500 0.500
H: 0.000 0.000 0.500

Largest 10 diffraction maxima, by intensity, 15 to 90 degrees two-theta:
2theta  intensity
23.9  100
34.0  95
55.1  42
60.9  35
42.0  33
76.7  20
48.9  18
81.7  16
86.6  12
71.6  11

***

The following is a theoretical powder diffractogram of Te4Mo3WSe4. It was derived from a DFT-relaxed cell (GGA-PBE, the Materials Project), using Cu Kα.
Intensities are scaled so that the largest is 100.

Structure:
a b c (Å): 3.4400 3.4400 39.1044
angles (deg): 90.00 90.00 120.00
Space group P3m1 (No. 156)
One atom of each set of equivalent atoms:
Te: 0.0000 0.0000 0.0000
Te: 0.0000 0.0000 0.0948
Te: 0.3333 0.6667 0.8118
Te: 0.3333 0.6667 0.9072
Mo: 0.0000 0.0000 0.4838
Mo: 0.3333 0.6667 0.0474
Mo: 0.3333 0.6667 0.6717
W: 0.0000 0.0000 0.8595
Se: 0.0000 0.0000 0.6298
Se: 0.0000 0.0000 0.7135
Se: 0.3333 0.6667 0.4420
Se: 0.3333 0.6667 0.5256

Largest 10 diffraction maxima, by intensity, 15 to 90 degrees two-theta:
2theta  intensity
35.3  100
42.7  66
30.0  57
53.3  43
44.5  22
75.2  20
36.6  18
65.5  16
70.6  15
89.3  15